Hf4GaBiN2: computed PXRD pattern (Cu Kα (λ = 1.5418 Å)), based on a crystal structure in OQMD, relaxed with PBE.

Structural model:
a = 3.2781 Å, b = 3.2781 Å, c = 14.2116 Å
α = 90.00°, β = 90.00°, γ = 120.00°
Fractional positions:
1 Hf 0.0000 0.0000 0.1536
2 Hf 0.0000 0.0000 0.8464
3 Hf 0.6667 0.3333 0.3275
4 Hf 0.6667 0.3333 0.6725
5 Ga 0.6667 0.3333 0.0000
6 Bi 0.0000 0.0000 0.5000
7 N 0.3333 0.6667 0.2387
8 N 0.3333 0.6667 0.7613

Main lines, by angle (10° ≤ 2θ ≤ 90°):
| (hkl) | two_theta | Rel. int. |
| --- | --- | --- |
| 1 0 0 | 31.51 | 28 |
| 1 0 2 | 34.01 | 6 |
| 1 0 3 | 36.91 | 100 |
| 0 0 6 | 37.99 | 18 |
| 1 0 6 | 50.16 | 15 |
| 1 1 0 | 56.11 | 21 |
| 1 0 8 | 61.58 | 5 |
| 2 0 0 | 65.78 | 6 |
| 1 0 9 | 67.93 | 14 |
| 2 0 3 | 69.08 | 16 |
| 1 1 6 | 69.78 | 19 |
| 2 0 6 | 78.57 | 4 |

---

Dy2Se2O7: computed PXRD pattern (Cu Kα (λ = 1.5418 Å)), based on a crystal structure in OQMD, relaxed with PBE.

Structural model:
a = 10.5414 Å, b = 10.5414 Å, c = 5.1920 Å
α = 90.00°, β = 90.00°, γ = 90.00°
Fractional positions:
1 Dy 0.1281 0.6281 0.0000
2 Dy 0.1281 0.8719 0.5000
3 Dy 0.3719 0.6281 0.5000
4 Dy 0.3719 0.8719 0.0000
5 Dy 0.6281 0.1281 0.0000
6 Dy 0.6281 0.3719 0.5000
7 Dy 0.8719 0.1281 0.5000
8 Dy 0.8719 0.3719 0.0000
9 Se 0.1296 0.1296 0.0364
10 Se 0.1296 0.3704 0.5364
11 Se 0.3704 0.1296 0.5364
12 Se 0.3704 0.3704 0.0364
13 Se 0.6296 0.6296 0.9636
14 Se 0.6296 0.8704 0.4636
15 Se 0.8704 0.6296 0.4636
16 Se 0.8704 0.8704 0.9636
17 O 0.0030 0.6814 0.6302
18 O 0.0030 0.8186 0.1302
19 O 0.0649 0.0649 0.3128
20 O 0.0649 0.4351 0.8128
21 O 0.1814 0.5030 0.3698
22 O 0.1814 0.9970 0.8698
23 O 0.2500 0.7500 0.2500
24 O 0.2500 0.7500 0.7500
25 O 0.3186 0.5030 0.8698
26 O 0.3186 0.9970 0.3698
27 O 0.4351 0.0649 0.8128
28 O 0.4351 0.4351 0.3128
29 O 0.4970 0.6814 0.1302
30 O 0.4970 0.8186 0.6302
31 O 0.5030 0.1814 0.3698
32 O 0.5030 0.3186 0.8698
33 O 0.5649 0.5649 0.6872
34 O 0.5649 0.9351 0.1872
35 O 0.6814 0.0030 0.6302
36 O 0.6814 0.4970 0.1302
37 O 0.7500 0.2500 0.2500
38 O 0.7500 0.2500 0.7500
39 O 0.8186 0.0030 0.1302
40 O 0.8186 0.4970 0.6302
41 O 0.9351 0.5649 0.1872
42 O 0.9351 0.9351 0.6872
43 O 0.9970 0.1814 0.8698
44 O 0.9970 0.3186 0.3698

Main lines, by angle (10° ≤ 2θ ≤ 90°):
| (hkl) | two_theta | Rel. int. |
| --- | --- | --- |
| 1 1 0 | 11.87 | 17 |
| 2 2 1 | 29.50 | 100 |
| 4 0 0 | 34.02 | 30 |
| 0 0 2 | 34.55 | 13 |
| 4 4 0 | 48.87 | 13 |
| 4 0 2 | 49.27 | 25 |
| 6 2 1 | 58.13 | 31 |
| 2 2 3 | 58.83 | 14 |
| 4 4 2 | 61.23 | 12 |
| 6 6 1 | 79.30 | 6 |
| 6 2 3 | 79.90 | 10 |
| 8 4 0 | 81.71 | 6 |

---

SrCu2H8: computed PXRD pattern (Cu Kα (λ = 1.5418 Å)), based on a crystal structure in OQMD, relaxed with PBE.

Structural model:
a = 4.8612 Å, b = 4.8675 Å, c = 5.9185 Å
α = 114.11°, β = 113.94°, γ = 90.01°
Fractional positions:
1 Sr 0.0000 0.0000 0.0000
2 Cu 0.2529 0.7449 0.4992
3 Cu 0.7516 0.2469 0.5009
4 H 0.0392 0.2134 0.7094
5 H 0.2322 0.6832 0.7220
6 H 0.3137 0.7653 0.2760
7 H 0.4987 0.0315 0.7016
8 H 0.5050 0.3213 0.2903
9 H 0.6839 0.4921 0.7174
10 H 0.7795 0.9603 0.2859
11 H 0.9655 0.5013 0.2975

Main lines, by angle (10° ≤ 2θ ≤ 90°):
| (hkl) | two_theta | Rel. int. |
| --- | --- | --- |
| 1 0 -1 | 20.43 | 89 |
| 1 1 0 | 31.86 | 100 |
| 1 1 -2 | 31.99 | 99 |
| 0 1 1 | 33.26 | 14 |
| 0 1 -2 | 33.40 | 13 |
| 2 0 -1 | 36.96 | 63 |
| 0 0 2 | 37.16 | 30 |
| 1 -2 0 | 42.56 | 17 |
| 2 0 1 | 53.27 | 45 |
| 3 1 -1 | 63.37 | 25 |
| 1 3 -3 | 63.48 | 12 |
| 3 1 -3 | 63.59 | 19 |

---

AlFe2Ge: computed PXRD pattern (Cu Kα (λ = 1.5418 Å)), based on a crystal structure in OQMD, relaxed with PBE.

Structural model:
a = 5.7334 Å, b = 5.7334 Å, c = 5.7334 Å
α = 90.00°, β = 90.00°, γ = 90.00°
Fractional positions:
1 Al 0.0000 0.0000 0.0000
2 Al 0.0000 0.0000 0.5000
3 Al 0.0000 0.5000 0.0000
4 Al 0.5000 0.0000 0.0000
5 Fe 0.2548 0.2548 0.2548
6 Fe 0.2548 0.2548 0.7452
7 Fe 0.2548 0.7452 0.2548
8 Fe 0.2548 0.7452 0.7452
9 Fe 0.7452 0.2548 0.2548
10 Fe 0.7452 0.2548 0.7452
11 Fe 0.7452 0.7452 0.2548
12 Fe 0.7452 0.7452 0.7452
13 Ge 0.0000 0.5000 0.5000
14 Ge 0.5000 0.0000 0.5000
15 Ge 0.5000 0.5000 0.0000
16 Ge 0.5000 0.5000 0.5000

Main lines, by angle (10° ≤ 2θ ≤ 90°):
| (hkl) | two_theta | Rel. int. |
| --- | --- | --- |
| 1 0 0 | 15.45 | 11 |
| 1 1 1 | 26.93 | 3 |
| 2 0 0 | 31.20 | 1 |
| 2 1 0 | 34.99 | 4 |
| 2 2 0 | 44.71 | 100 |
| 2 2 1 | 47.58 | 3 |
| 3 1 1 | 52.97 | 1 |
| 3 2 0 | 58.00 | 2 |
| 4 0 0 | 65.07 | 15 |
| 4 1 0 | 67.34 | 1 |
| 4 2 1 | 76.07 | 1 |
| 4 2 2 | 82.40 | 30 |

---

Ho3Ga5: computed PXRD pattern (Cu Kα (λ = 1.5418 Å)), based on a crystal structure in OQMD, relaxed with PBE.

Structural model:
a = 11.4156 Å, b = 9.6313 Å, c = 6.0717 Å
α = 90.00°, β = 90.00°, γ = 90.00°
Fractional positions:
1 Ho 0.0737 0.2500 0.1518
2 Ho 0.1479 0.5095 0.6096
3 Ho 0.1479 0.9905 0.6096
4 Ho 0.3521 0.0095 0.1096
5 Ho 0.3521 0.4905 0.1096
6 Ho 0.4263 0.7500 0.6518
7 Ho 0.5737 0.2500 0.3482
8 Ho 0.6479 0.5095 0.8904
9 Ho 0.6479 0.9905 0.8904
10 Ho 0.8521 0.0095 0.3904
11 Ho 0.8521 0.4905 0.3904
12 Ho 0.9263 0.7500 0.8482
13 Ga 0.0050 0.2500 0.6280
14 Ga 0.0909 0.5528 0.1249
15 Ga 0.0909 0.9472 0.1249
16 Ga 0.2013 0.7500 0.8966
17 Ga 0.2480 0.7500 0.3261
18 Ga 0.2520 0.2500 0.8261
19 Ga 0.2987 0.2500 0.3966
20 Ga 0.4091 0.0528 0.6249
21 Ga 0.4091 0.4472 0.6249
22 Ga 0.4950 0.7500 0.1280
23 Ga 0.5050 0.2500 0.8720
24 Ga 0.5909 0.5528 0.3751
25 Ga 0.5909 0.9472 0.3751
26 Ga 0.7013 0.7500 0.6034
27 Ga 0.7480 0.7500 0.1739
28 Ga 0.7520 0.2500 0.6739
29 Ga 0.7987 0.2500 0.1034
30 Ga 0.9091 0.0528 0.8751
31 Ga 0.9091 0.4472 0.8751
32 Ga 0.9950 0.7500 0.3720

Main lines, by angle (10° ≤ 2θ ≤ 90°):
| (hkl) | two_theta | Rel. int. |
| --- | --- | --- |
| 1 2 1 | 24.85 | 31 |
| 2 2 1 | 28.36 | 53 |
| 1 0 2 | 30.47 | 43 |
| 2 3 0 | 31.94 | 65 |
| 3 2 1 | 33.45 | 79 |
| 4 0 1 | 34.73 | 50 |
| 1 2 2 | 35.84 | 100 |
| 4 2 0 | 36.60 | 76 |
| 0 4 0 | 37.35 | 87 |
| 3 0 2 | 37.91 | 82 |
| 1 3 2 | 41.70 | 65 |
| 3 4 2 | 54.27 | 35 |

---

Lu3SN2: computed PXRD pattern (Cu Kα (λ = 1.5418 Å)), based on a crystal structure in OQMD, relaxed with PBE.

Structural model:
a = 3.4474 Å, b = 3.4474 Å, c = 17.7555 Å
α = 90.00°, β = 90.00°, γ = 120.00°
Fractional positions:
1 Lu 0.0000 0.0000 0.0000
2 Lu 0.0000 0.0000 0.5000
3 Lu 0.3333 0.6667 0.1458
4 Lu 0.3333 0.6667 0.3542
5 Lu 0.6667 0.3333 0.6458
6 Lu 0.6667 0.3333 0.8542
7 S 0.0000 0.0000 0.2500
8 S 0.0000 0.0000 0.7500
9 N 0.3333 0.6667 0.5789
10 N 0.3333 0.6667 0.9211
11 N 0.6667 0.3333 0.0789
12 N 0.6667 0.3333 0.4211

Main lines, by angle (10° ≤ 2θ ≤ 90°):
| (hkl) | two_theta | Rel. int. |
| --- | --- | --- |
| 0 0 6 | 30.20 | 26 |
| 1 0 1 | 30.36 | 63 |
| 1 0 2 | 31.62 | 34 |
| 1 0 4 | 36.26 | 100 |
| 1 0 5 | 39.43 | 59 |
| 1 1 0 | 53.13 | 42 |
| 1 0 9 | 55.86 | 19 |
| 1 0 10 | 60.68 | 17 |
| 1 1 6 | 62.37 | 30 |
| 2 0 4 | 66.03 | 17 |
| 1 1 8 | 68.98 | 16 |
| 2 1 4 | 89.64 | 16 |

---

HfCo: computed PXRD pattern (Cu Kα (λ = 1.5418 Å)), based on a crystal structure in OQMD, relaxed with PBE.

Structural model:
a = 3.1640 Å, b = 3.1640 Å, c = 3.1640 Å
α = 90.00°, β = 90.00°, γ = 90.00°
Fractional positions:
1 Hf 0.0000 0.0000 0.0000
2 Co 0.5000 0.5000 0.5000

Main lines, by angle (10° ≤ 2θ ≤ 90°):
| (hkl) | two_theta | Rel. int. |
| --- | --- | --- |
| 1 0 0 | 28.20 | 29 |
| 1 1 0 | 40.31 | 100 |
| 1 1 1 | 49.92 | 9 |
| 2 0 0 | 58.33 | 17 |
| 2 1 0 | 66.02 | 12 |
| 2 1 1 | 73.28 | 34 |
| 2 2 0 | 87.13 | 11 |

---

Hf2ZnCu3: computed PXRD pattern (Cu Kα (λ = 1.5418 Å)), based on a crystal structure in OQMD, relaxed with PBE.

Structural model:
a = 3.1540 Å, b = 3.1540 Å, c = 9.3377 Å
α = 90.00°, β = 90.00°, γ = 90.00°
Fractional positions:
1 Hf 0.0000 0.0000 0.0000
2 Hf 0.5000 0.5000 0.4810
3 Zn 0.0000 0.0000 0.6776
4 Cu 0.0000 0.0000 0.3033
5 Cu 0.5000 0.5000 0.1749
6 Cu 0.5000 0.5000 0.8143

Main lines, by angle (10° ≤ 2θ ≤ 90°):
| (hkl) | two_theta | Rel. int. |
| --- | --- | --- |
| 0 0 2 | 19.01 | 12 |
| 1 0 1 | 29.90 | 35 |
| 0 0 4 | 38.57 | 8 |
| 1 1 0 | 40.45 | 55 |
| 1 0 3 | 40.73 | 100 |
| 1 1 4 | 57.12 | 10 |
| 2 0 0 | 58.53 | 18 |
| 0 0 6 | 59.39 | 7 |
| 2 1 1 | 67.11 | 8 |
| 2 1 3 | 73.75 | 33 |
| 1 1 6 | 74.32 | 13 |
| 2 0 6 | 88.21 | 9 |